[1]
Theoretical X-ray powder pattern
Compound: CsK2AlAu
Radiation: Cu Kα X-rays
Structure: a crystal structure in Alexandria, relaxed with PBE
Lines closer than 0.1° are merged.

Cell and atoms:
```
data_CsK2AlAu
_space_group_name_H-M_alt 'P 4/m m m'
_space_group_IT_number 123
_space_group_name_Hall '-P 4 2'
_cell_length_a 6.6498
_cell_length_b 6.6498
_cell_length_c 4.9827
_cell_angle_alpha 90.00
_cell_angle_beta 90.00
_cell_angle_gamma 90.00
loop_
_atom_site_label
_atom_site_type_symbol
_atom_site_fract_x
_atom_site_fract_y
_atom_site_fract_z
Cs1 Cs 0.0000 0.0000 0.0000
K1 K 0.0000 0.5000 0.5000
Al1 Al 0.5000 0.5000 0.0000
Au1 Au 0.5000 0.5000 0.5000
```

Peak list (10 most intense, 10 to 90 degrees two-theta, by angle)
| d [Å] | I (rel.) |
| --- | --- |
| 4.702 | 59.9 |
| 3.987 | 100.0 |
| 3.325 | 68.9 |
| 2.554 | 64.0 |
| 2.351 | 26.4 |
| 2.201 | 17.6 |
| 2.025 | 16.3 |
| 1.994 | 32.0 |
| 1.730 | 20.0 |
| 1.710 | 19.5 |

[2]
Theoretical X-ray powder pattern
Compound: PrTm3Au4
Radiation: Cu Kα X-rays
Structure: a crystal structure in Alexandria, relaxed with PBE
Lines closer than 0.1° are merged.

Cell and atoms:
```
data_PrTm3Au4
_space_group_name_H-M_alt 'P 4/m m m'
_space_group_IT_number 123
_space_group_name_Hall '-P 4 2'
_cell_length_a 5.0801
_cell_length_b 5.0801
_cell_length_c 7.2487
_cell_angle_alpha 90.00
_cell_angle_beta 90.00
_cell_angle_gamma 90.00
loop_
_atom_site_label
_atom_site_type_symbol
_atom_site_fract_x
_atom_site_fract_y
_atom_site_fract_z
Pr1 Pr 0.0000 0.0000 0.0000
Tm1 Tm 0.0000 0.0000 0.5000
Tm2 Tm 0.5000 0.5000 0.0000
Tm3 Tm 0.5000 0.5000 0.5000
Au1 Au 0.0000 0.5000 0.2665
```

Peak list (10 most intense, 10 to 90 degrees two-theta, by angle)
| d [Å] | I (rel.) |
| --- | --- |
| 2.551 | 100.0 |
| 2.540 | 50.6 |
| 1.812 | 8.5 |
| 1.796 | 18.2 |
| 1.475 | 17.4 |
| 1.469 | 36.9 |
| 1.276 | 10.8 |
| 1.270 | 5.9 |
| 1.145 | 7.0 |
| 1.136 | 16.9 |

[3]
Theoretical X-ray powder pattern
Compound: Pm2Nd3
Radiation: Cu Kα X-rays
Structure: a crystal structure in Alexandria, relaxed with PBE
Lines closer than 0.1° are merged.

Cell and atoms:
```
data_Pm2Nd3
_space_group_name_H-M_alt 'I m m m'
_space_group_IT_number 71
_space_group_name_Hall '-I 2 2'
_cell_length_a 5.4874
_cell_length_b 7.5258
_cell_length_c 8.5578
_cell_angle_alpha 90.00
_cell_angle_beta 90.00
_cell_angle_gamma 90.00
loop_
_atom_site_label
_atom_site_type_symbol
_atom_site_fract_x
_atom_site_fract_y
_atom_site_fract_z
Pm1 Pm 0.0000 0.0000 0.1945
Nd1 Nd 0.0000 0.2913 0.5000
Nd2 Nd 0.0000 0.5000 0.0000
```

Peak list (10 most intense, 10 to 90 degrees two-theta, by angle)
| d [Å] | I (rel.) |
| --- | --- |
| 3.079 | 92.6 |
| 2.917 | 100.0 |
| 2.826 | 20.5 |
| 2.744 | 45.6 |
| 2.531 | 21.9 |
| 1.883 | 30.7 |
| 1.615 | 17.3 |
| 1.553 | 32.8 |
| 1.499 | 25.6 |
| 1.375 | 17.1 |